This entry pairs a crystal structure of Na5B2P3O13 with its computed X-ray diffraction stick pattern. Radiation: Cu Ka. Structure: a cell relaxed with PBE.

Unit cell a=6.7926 b=11.7468 c=7.7769 alpha=90.00 beta=115.10 gamma=90.00
Space group P2_1 (No. 4)
Unique sites:
Na: 0.0250 0.0000 0.4923 (multiplicity 2)
Na: 0.1197 0.2295 0.2782 (multiplicity 2)
Na: 0.1478 0.7226 0.2673 (multiplicity 2)
Na: 0.4011 0.5947 0.9647 (multiplicity 2)
Na: 0.4518 0.4988 0.4880 (multiplicity 2)
B: 0.2888 0.3179 0.0016 (multiplicity 2)
B: 0.3675 0.8667 0.0039 (multiplicity 2)
P: 0.9998 0.4816 0.0110 (multiplicity 2)
P: 0.3419 0.2540 0.6934 (multiplicity 2)
P: 0.3440 0.7676 0.6796 (multiplicity 2)
O: 0.0108 0.5538 0.8533 (multiplicity 2)
O: 0.0784 0.3538 0.9972 (multiplicity 2)
O: 0.1281 0.5269 0.2105 (multiplicity 2)
O: 0.2316 0.2356 0.8372 (multiplicity 2)
O: 0.2378 0.8031 0.8212 (multiplicity 2)
O: 0.2417 0.3534 0.5599 (multiplicity 2)
O: 0.2485 0.9635 0.0301 (multiplicity 2)
O: 0.2539 0.6511 0.5975 (multiplicity 2)
O: 0.3080 0.8597 0.5329 (multiplicity 2)
O: 0.3350 0.1414 0.5944 (multiplicity 2)
O: 0.4046 0.2489 0.1819 (multiplicity 2)
O: 0.4100 0.7790 0.1614 (multiplicity 2)
O: 0.4294 0.4063 0.9924 (multiplicity 2)

Most intense lines, 2θ from 10° to 80°, most intense first:
2θ (°)  d (Å)  I_rel  hkl
29.58  3.020  100  0 2 2
30.42  2.938  40  0 4 0
26.24  3.396  37  2 0 -1
15.08  5.873  36  0 2 0
32.87  2.725  36  2 2 0
33.16  2.701  35  2 2 -2
20.91  4.248  35  1 2 0
21.02  4.226  32  1 2 -1
19.68  4.511  15  0 2 1
48.66  1.871  14  2 4 -3
48.24  1.886  14  2 4 1
39.98  2.255  14  0 4 2